For CrCoNF6, a structure optimized by DFT (GGA+U) gives the calculated powder diffraction line list in this record (Cu Kα (λ = 1.5418 Å)).
Lines closer than 0.1° are merged.

Top 6 peaks for 10 to 80 degrees two-theta, low angle first:
2θ (°), d [Å], Rel. int.
14.7, 6.025, 54.0
14.8, 5.982, 100.0
28.3, 3.152, 19.3
28.5, 3.132, 29.8
29.7, 3.012, 37.8
49.7, 1.835, 25.4

Atomic structure:
```
data_CrCoNF6
_chemical_formula_sum 'Cr4 Co4 N4 F24'
_cell_length_a 7.3369
_cell_length_b 7.4156
_cell_length_c 10.3337
_cell_angle_alpha 90.00
_cell_angle_beta 90.00
_cell_angle_gamma 90.00
_symmetry_space_group_name_H-M 'I m m a'
_symmetry_Int_Tables_number 74
_symmetry_space_group_name_Hall '-I 2b 2'
loop_
_atom_site_label
_atom_site_type_symbol
_atom_site_fract_x
_atom_site_fract_y
_atom_site_fract_z
Cr1 Cr 0.2500 0.2500 0.2500
Co1 Co 0.0000 0.0000 0.0000
N1 N 0.0000 0.2500 0.9283
F1 F 0.0000 0.2500 0.3144
F2 F 0.0000 0.2500 0.7992
F3 F 0.1892 0.0643 0.1243
```